[1]
For DyZn2Fe9, a cell relaxed with PBE gives the calculated XRD peak list in this record (λ = 1.5418 Å (Cu Kα)).
Lines closer than 0.1° are merged.

Crystal structure
```
data_DyZn2Fe9
_cell_length_a 8.187
_cell_length_b 8.187
_cell_length_c 4.834
_cell_angle_alpha 90.00
_cell_angle_beta 90.00
_cell_angle_gamma 90.00
_space_group_name_H-M_alt 'P 4/m b m'
_space_group_IT_number 127
_space_group_name_Hall '-P 4 2ab'
loop_
_atom_site_label
_atom_site_fract_x
_atom_site_fract_y
_atom_site_fract_z
Dy1 0.000 0.000 0.000
Zn1 0.118 0.382 0.000
Fe1 0.000 0.500 0.500
Fe2 0.066 0.212 0.500
Fe3 0.178 0.678 0.243
```

Peak list (8 most intense, 2θ = 15–90°, sorted by position)
2θ (°)	d (Å)	I_rel
34.65	2.589	24
36.17	2.483	32
39.48	2.282	100
43.48	2.081	38
44.06	2.055	31
44.94	2.017	58
45.69	1.986	37
49.81	1.831	18

=====

[2]
For LiPmSO4, a cell relaxed with PBE gives the calculated XRD peak list in this record (λ = 1.5418 Å (Cu Kα)).
Lines closer than 0.1° are merged.

Crystal structure
```
data_LiPmSO4
_cell_length_a 7.155
_cell_length_b 7.352
_cell_length_c 7.949
_cell_angle_alpha 90.00
_cell_angle_beta 90.00
_cell_angle_gamma 90.00
_space_group_name_H-M_alt 'I m m a'
_space_group_IT_number 74
_space_group_name_Hall '-I 2b 2'
loop_
_atom_site_label
_atom_site_fract_x
_atom_site_fract_y
_atom_site_fract_z
Li1 0.000 0.000 0.000
Pm1 0.250 0.250 0.250
S1 0.000 0.250 0.670
O1 0.000 0.051 0.222
O2 0.171 0.250 0.560
```

Peak list (8 most intense, 2θ = 15–90°, sorted by position)
2θ (°)	d (Å)	I_rel
16.42	5.397	100
22.37	3.974	54
24.21	3.676	53
29.97	2.982	93
35.00	2.564	33
36.03	2.493	38
44.29	2.045	31
46.34	1.959	41

=====

[3]
For Pd7PbAu4, a cell relaxed with PBE gives the calculated XRD peak list in this record (λ = 1.5418 Å (Cu Kα)).
Lines closer than 0.1° are merged.

Crystal structure
```
data_Pd7PbAu4
_cell_length_a 10.225
_cell_length_b 5.019
_cell_length_c 9.923
_cell_angle_alpha 90.00
_cell_angle_beta 119.43
_cell_angle_gamma 90.00
_space_group_name_H-M_alt 'C 1 2/m 1'
_space_group_IT_number 12
_space_group_name_Hall '-C 2y'
loop_
_atom_site_label
_atom_site_fract_x
_atom_site_fract_y
_atom_site_fract_z
Pd1 0.000 0.000 0.000
Pd2 0.114 0.500 0.457
Pd3 0.153 0.000 0.617
Pd4 0.213 0.000 0.916
Pb1 0.000 0.500 0.000
Au1 0.085 0.000 0.313
Au2 0.184 0.500 0.769
```

Peak list (8 most intense, 2θ = 15–90°, sorted by position)
2θ (°)	d (Å)	I_rel
24.94	3.570	24
35.78	2.509	100
36.39	2.469	79
41.49	2.176	71
41.80	2.161	68
51.96	1.760	60
68.15	1.376	28
79.38	1.207	25

=====

[4]
For Zr4NO5, a cell relaxed with PBE gives the calculated XRD peak list in this record (λ = 1.5418 Å (Cu Kα)).
Lines closer than 0.1° are merged.

Crystal structure
```
data_Zr4NO5
_cell_length_a 3.386
_cell_length_b 5.907
_cell_length_c 12.532
_cell_angle_alpha 90.00
_cell_angle_beta 90.00
_cell_angle_gamma 90.00
_space_group_name_H-M_alt 'I m m m'
_space_group_IT_number 71
_space_group_name_Hall '-I 2 2'
loop_
_atom_site_label
_atom_site_fract_x
_atom_site_fract_y
_atom_site_fract_z
Zr1 0.000 0.000 0.193
Zr2 0.000 0.253 0.500
N1 0.000 0.000 0.000
O1 0.000 0.254 0.327
O2 0.000 0.500 0.000
```

Peak list (8 most intense, 2θ = 15–90°, sorted by position)
2θ (°)	d (Å)	I_rel
26.13	3.411	49
28.49	3.133	35
30.43	2.937	38
33.54	2.672	62
33.70	2.660	39
34.09	2.630	57
41.20	2.191	100
55.19	1.664	80

=====

[5]
For AsHOsPd, a cell relaxed with PBE gives the calculated XRD peak list in this record (λ = 1.5418 Å (Cu Kα)).
Lines closer than 0.1° are merged.

Crystal structure
```
data_AsHOsPd
_cell_length_a 2.983
_cell_length_b 3.165
_cell_length_c 5.653
_cell_angle_alpha 90.00
_cell_angle_beta 103.62
_cell_angle_gamma 90.00
_space_group_name_H-M_alt 'P 1 m 1'
_space_group_IT_number 6
_space_group_name_Hall 'P -2y'
loop_
_atom_site_label
_atom_site_fract_x
_atom_site_fract_y
_atom_site_fract_z
As1 0.000 0.000 0.000
H1 0.048 0.500 0.468
Os1 0.387 0.500 0.770
Pd1 0.719 0.000 0.390
```

Peak list (8 most intense, 2θ = 15–90°, sorted by position)
2θ (°)	d (Å)	I_rel
16.13	5.493	44
32.64	2.743	100
38.37	2.346	48
39.52	2.280	44
42.27	2.138	56
42.63	2.121	46
43.63	2.075	45
58.26	1.584	27

=====

[6]
For Tm3NpIr8, a cell relaxed with PBE gives the calculated XRD peak list in this record (λ = 1.5418 Å (Cu Kα)).
Lines closer than 0.1° are merged.

Crystal structure
```
data_Tm3NpIr8
_cell_length_a 5.3343
_cell_length_b 5.3343
_cell_length_c 26.1029
_cell_angle_alpha 90.00
_cell_angle_beta 90.00
_cell_angle_gamma 120.00
_space_group_name_H-M_alt 'R 3 m'
_space_group_IT_number 160
_space_group_name_Hall 'R 3 -2"'
loop_
_atom_site_label
_atom_site_fract_x
_atom_site_fract_y
_atom_site_fract_z
Tm1 0.0000 0.0000 0.0000
Tm2 0.0000 0.0000 0.1251
Tm3 0.0000 0.0000 0.6264
Np1 0.0000 0.0000 0.5014
Ir1 0.0000 0.0000 0.3132
Ir2 0.0000 0.0000 0.8131
Ir3 0.0012 0.5006 0.0635
Ir4 0.1676 0.3352 0.8961
```

Peak list (8 most intense, 2θ = 15–90°, sorted by position)
2θ (°)	d (Å)	I_rel
33.61	2.666	26
39.64	2.274	100
41.48	2.177	41
60.11	1.539	10
64.17	1.451	33
70.66	1.333	29
84.17	1.150	9
85.39	1.137	16

=====

[7]
For Ce2AlGa2Ru5, a cell relaxed with PBE gives the calculated XRD peak list in this record (λ = 1.5418 Å (Cu Kα)).
Lines closer than 0.1° are merged.

Crystal structure
```
data_Ce2AlGa2Ru5
_cell_length_a 9.988
_cell_length_b 9.988
_cell_length_c 3.396
_cell_angle_alpha 90.00
_cell_angle_beta 90.00
_cell_angle_gamma 90.00
_space_group_name_H-M_alt 'P 4/m b m'
_space_group_IT_number 127
_space_group_name_Hall '-P 4 2ab'
loop_
_atom_site_label
_atom_site_fract_x
_atom_site_fract_y
_atom_site_fract_z
Ce1 0.172 0.328 0.000
Al1 0.000 0.000 0.000
Ga1 0.128 0.628 0.000
Ru1 0.000 0.500 0.500
Ru2 0.075 0.804 0.500
```

Peak list (8 most intense, 2θ = 15–90°, sorted by position)
2θ (°)	d (Å)	I_rel
33.14	2.703	26
37.11	2.422	60
38.23	2.354	27
38.94	2.313	100
42.10	2.147	39
54.01	1.698	19
65.15	1.432	17
67.35	1.390	20

=====

[8]
For CaErZn4, a cell relaxed with PBE gives the calculated XRD peak list in this record (λ = 1.5418 Å (Cu Kα)).
Lines closer than 0.1° are merged.

Crystal structure
```
data_CaErZn4
_cell_length_a 4.130
_cell_length_b 4.130
_cell_length_c 15.262
_cell_angle_alpha 90.00
_cell_angle_beta 90.00
_cell_angle_gamma 90.00
_space_group_name_H-M_alt 'I -4 m 2'
_space_group_IT_number 119
_space_group_name_Hall 'I -4 -2'
loop_
_atom_site_label
_atom_site_fract_x
_atom_site_fract_y
_atom_site_fract_z
Ca1 0.000 0.000 0.000
Er1 0.000 0.500 0.250
Zn1 0.000 0.000 0.417
Zn2 0.000 0.500 0.670
```

Peak list (8 most intense, 2θ = 15–90°, sorted by position)
2θ (°)	d (Å)	I_rel
27.82	3.206	32
32.84	2.728	100
36.61	2.455	63
43.84	2.065	43
47.14	1.928	33
58.40	1.580	31
66.33	1.409	23
73.57	1.287	18